# 1
Diffraction record for YZn8Pd4. The XRD peak list is simulated, not measured: it uses a structure optimized by DFT (PBE) and Cu Kα (weighted mean of Kα1 and Kα2).

Structural model:
a b c (Å): 6.7824 6.7824 6.7824
angles (deg): 99.42 99.42 132.29
Positions (direct):
1 Y 0.0000 0.0000 0.0000
2 Zn 0.0000 0.3474 0.3474
3 Zn 0.0000 0.6526 0.6526
4 Zn 0.2829 0.5000 0.7829
5 Zn 0.3474 0.0000 0.3474
6 Zn 0.5000 0.2829 0.7829
7 Zn 0.5000 0.7171 0.2171
8 Zn 0.6526 0.0000 0.6526
9 Zn 0.7171 0.5000 0.2171
10 Pd 0.0000 0.0000 0.5000
11 Pd 0.0000 0.5000 0.0000
12 Pd 0.5000 0.0000 0.0000
13 Pd 0.5000 0.5000 0.5000

Peak list (10 most intense, 2θ = 5–70°, low angle first)
- 20.2 deg, rel. 38.0
- 34.8 deg, rel. 33.1
- 38.7 deg, rel. 100.0
- 40.6 deg, rel. 68.5
- 41.2 deg, rel. 67.1
- 44.1 deg, rel. 85.4
- 45.7 deg, rel. 16.1
- 46.3 deg, rel. 43.0
- 57.8 deg, rel. 17.0
- 63.7 deg, rel. 17.0

---

# 2
Diffraction record for Y2Zn5Pd5. The XRD peak list is simulated, not measured: it uses a structure optimized by DFT (PBE) and Cu Kα (weighted mean of Kα1 and Kα2).

Structural model:
a b c (Å): 4.3845 5.2342 9.1700
angles (deg): 90.00 90.00 90.00
Positions (direct):
1 Y 0.0000 0.0000 0.0000
2 Y 0.0000 0.5000 0.5000
3 Zn 0.5000 0.0000 0.5000
4 Zn 0.5000 0.2503 0.2497
5 Zn 0.5000 0.2503 0.7503
6 Zn 0.5000 0.7497 0.2497
7 Zn 0.5000 0.7497 0.7503
8 Pd 0.0000 0.0000 0.3331
9 Pd 0.0000 0.0000 0.6669
10 Pd 0.0000 0.5000 0.1787
11 Pd 0.0000 0.5000 0.8213
12 Pd 0.5000 0.5000 0.0000

Peak list (10 most intense, 2θ = 5–70°, low angle first)
- 19.5 deg, rel. 20.3
- 34.0 deg, rel. 23.2
- 34.3 deg, rel. 15.8
- 39.7 deg, rel. 13.3
- 39.9 deg, rel. 100.0
- 40.1 deg, rel. 41.0
- 41.2 deg, rel. 42.8
- 44.9 deg, rel. 32.0
- 54.4 deg, rel. 11.8
- 65.1 deg, rel. 22.6

---

# 3
Diffraction record for YZn4Pd2. The XRD peak list is simulated, not measured: it uses a structure optimized by DFT (PBE) and Cu Kα (weighted mean of Kα1 and Kα2).

Structural model:
a b c (Å): 7.5079 7.5079 4.2741
angles (deg): 90.00 90.00 90.00
Positions (direct):
1 Y 0.0000 0.0000 0.0000
2 Y 0.5000 0.5000 0.5000
3 Zn 0.0992 0.3540 0.5000
4 Zn 0.1460 0.5992 0.0000
5 Zn 0.3540 0.0992 0.5000
6 Zn 0.4008 0.8540 0.0000
7 Zn 0.5992 0.1460 0.0000
8 Zn 0.6460 0.9008 0.5000
9 Zn 0.8540 0.4008 0.0000
10 Zn 0.9008 0.6460 0.5000
11 Pd 0.2158 0.7842 0.5000
12 Pd 0.2842 0.2842 0.0000
13 Pd 0.7158 0.7158 0.0000
14 Pd 0.7842 0.2158 0.5000

Peak list (10 most intense, 2θ = 5–70°, low angle first)
- 33.8 deg, rel. 32.5
- 34.0 deg, rel. 77.1
- 37.9 deg, rel. 30.0
- 40.0 deg, rel. 60.3
- 42.3 deg, rel. 50.2
- 43.6 deg, rel. 100.0
- 50.1 deg, rel. 25.3
- 58.1 deg, rel. 16.4
- 65.9 deg, rel. 17.5
- 67.6 deg, rel. 19.8

---

# 4
Diffraction record for Y8ZnPd2. The XRD peak list is simulated, not measured: it uses a structure optimized by DFT (PBE) and Cu Kα (weighted mean of Kα1 and Kα2).

Structural model:
a b c (Å): 7.9222 7.9222 5.7041
angles (deg): 98.88 98.88 114.79
Positions (direct):
1 Y 0.0000 0.0000 0.0000
2 Y 0.0343 0.2882 0.5782
3 Y 0.1384 0.5957 0.1855
4 Y 0.2882 0.0343 0.5782
5 Y 0.4525 0.7042 0.7763
6 Y 0.5957 0.1384 0.1855
7 Y 0.7042 0.4525 0.7763
8 Y 0.7494 0.7494 0.3737
9 Zn 0.3693 0.3693 0.2976
10 Pd 0.0676 0.6778 0.6899
11 Pd 0.6778 0.0676 0.6899

Peak list (10 most intense, 2θ = 5–70°, low angle first)
- 29.9 deg, rel. 86.4
- 30.8 deg, rel. 55.0
- 31.4 deg, rel. 100.0
- 32.1 deg, rel. 51.9
- 32.9 deg, rel. 99.4
- 34.7 deg, rel. 89.7
- 35.5 deg, rel. 53.4
- 36.5 deg, rel. 49.9
- 37.7 deg, rel. 86.0
- 38.7 deg, rel. 49.0

---

# 5
Diffraction record for Y3Zn4Pd4. The XRD peak list is simulated, not measured: it uses a structure optimized by DFT (PBE) and Cu Kα (weighted mean of Kα1 and Kα2).

Structural model:
a b c (Å): 8.2234 8.2234 8.2234
angles (deg): 151.27 126.88 61.51
Positions (direct):
1 Y 0.0000 0.0000 0.0000
2 Y 0.3729 0.8729 0.5000
3 Y 0.6271 0.1271 0.5000
4 Zn 0.0235 0.3270 0.6965
5 Zn 0.3694 0.6730 0.6965
6 Zn 0.6306 0.3270 0.3035
7 Zn 0.9765 0.6730 0.3035
8 Pd 0.2176 0.2176 0.0000
9 Pd 0.3074 0.5000 0.8074
10 Pd 0.6926 0.5000 0.1926
11 Pd 0.7824 0.7824 0.0000

Peak list (10 most intense, 2θ = 5–70°, low angle first)
- 33.4 deg, rel. 100.0
- 34.0 deg, rel. 24.8
- 35.8 deg, rel. 83.8
- 38.1 deg, rel. 12.8
- 38.2 deg, rel. 17.1
- 41.5 deg, rel. 27.5
- 44.4 deg, rel. 39.3
- 45.0 deg, rel. 28.9
- 46.2 deg, rel. 31.0
- 62.4 deg, rel. 15.7

---

# 6
Diffraction record for Yb3Pd4. The XRD peak list is simulated, not measured: it uses a structure optimized by DFT (PBE) and Cu Kα (weighted mean of Kα1 and Kα2).

Structural model:
a b c (Å): 7.8481 7.8481 7.8481
angles (deg): 114.16 114.16 114.16
Positions (direct):
1 Yb 0.0221 0.2760 0.4014
2 Yb 0.2760 0.4014 0.0221
3 Yb 0.4014 0.0221 0.2760
4 Yb 0.5986 0.9779 0.7240
5 Yb 0.7240 0.5986 0.9779
6 Yb 0.9779 0.7240 0.5986
7 Pd 0.0000 0.0000 0.0000
8 Pd 0.0666 0.5511 0.2302
9 Pd 0.2302 0.0666 0.5511
10 Pd 0.4489 0.7698 0.9334
11 Pd 0.5000 0.5000 0.5000
12 Pd 0.5511 0.2302 0.0666
13 Pd 0.7698 0.9334 0.4489
14 Pd 0.9334 0.4489 0.7698

Peak list (10 most intense, 2θ = 5–70°, low angle first)
- 31.9 deg, rel. 14.7
- 32.2 deg, rel. 30.5
- 36.1 deg, rel. 100.0
- 37.4 deg, rel. 73.3
- 37.7 deg, rel. 13.1
- 42.3 deg, rel. 13.0
- 51.2 deg, rel. 9.7
- 53.0 deg, rel. 19.1
- 55.2 deg, rel. 10.4
- 65.7 deg, rel. 11.7